1.
This entry pairs a crystal structure of Ti4VRe with its calculated X-ray diffraction stick pattern. Radiation: CuKα. Structure: a crystal structure in Alexandria, relaxed with GGA-PBE.

Atomic structure:
```
Ti4VRe
1.0
9.458 0.000 0.000
0.000 4.431 0.000
-3.270 0.000 4.521
Ti V Re
8 2 2
Direct
0.160 0.000 0.312
0.177 0.000 0.821
0.323 0.500 0.179
0.340 0.500 0.688
0.660 0.500 0.312
0.677 0.500 0.821
0.823 0.000 0.179
0.840 0.000 0.688
0.000 0.500 0.500
0.500 0.000 0.500
0.000 0.500 0.000
0.500 0.000 0.000
```

Peak list (12 most intense, 2θ from 10° to 90°, by angle)
2θ/deg, intensity
19.68, 44
23.19, 47
25.67, 24
32.08, 12
39.91, 72
40.06, 38
40.75, 100
58.30, 13
58.46, 21
72.12, 12
73.55, 22
74.18, 15

2.
This entry pairs a crystal structure of TiV3Re4 with its calculated X-ray diffraction stick pattern. Radiation: CuKα. Structure: a crystal structure in Alexandria, relaxed with GGA-PBE.

Atomic structure:
```
TiV3Re4
1.0
3.054 0.000 0.000
0.000 4.329 0.000
0.000 0.000 8.657
Ti V Re
1 3 4
Direct
0.000 0.000 0.000
0.000 0.000 0.500
0.000 0.500 0.251
0.000 0.500 0.749
0.500 0.000 0.256
0.500 0.000 0.744
0.500 0.500 0.000
0.500 0.500 0.500
```

Peak list (9 most intense, 2θ from 10° to 90°, by angle)
2θ/deg, intensity
29.20, 43
41.77, 100
51.77, 12
60.49, 11
60.65, 5
68.57, 11
68.70, 6
76.22, 22
76.32, 11